No. 1
Computed powder XRD pattern
Compound: CaFeB14
Radiation: copper Kα
Structure: a cell relaxed with GGA-PBE
Kinematic intensities with the Lorentz-polarization factor, no thermal factor.

Atomic structure:
abc: 5.849 10.552 8.283
angles: 90.00 90.00 90.00
Space group Imma (No. 74)
Inequivalent atoms, fractional coordinates:
Ca 0.000 0.250 0.138
Fe 0.250 0.250 0.750
B 0.000 0.087 0.668
B 0.000 0.136 0.870
B 0.000 0.166 0.467
B 0.160 0.059 0.338
B 0.248 0.080 0.546

Main lines, low angle first (2θ from 10° to 90°):
Position (°2θ)  I/Imax
13.59  71
16.80  49
27.38  34
33.58  100
41.54  68
41.62  77


No. 2
Computed powder XRD pattern
Compound: CaGaBO4
Radiation: copper Kα
Structure: a cell relaxed with GGA-PBE
Kinematic intensities with the Lorentz-polarization factor, no thermal factor.

Atomic structure:
abc: 8.448 15.557 5.910
angles: 90.00 90.00 90.00
Space group Ccc2 (No. 37)
Inequivalent atoms, fractional coordinates:
Ca 0.141 0.092 0.000
Ga 0.016 0.297 0.727
B 0.240 0.393 0.461
O 0.038 0.231 0.982
O 0.128 0.057 0.429
O 0.154 0.373 0.267
O 0.195 0.367 0.678

Main lines, low angle first (2θ from 10° to 90°):
Position (°2θ)  I/Imax
11.38  93
20.09  100
23.97  100
30.62  56
32.62  55
36.58  52


No. 3
Computed powder XRD pattern
Compound: CaGa3B4O12
Radiation: copper Kα
Structure: a cell relaxed with GGA-PBE
Kinematic intensities with the Lorentz-polarization factor, no thermal factor.

Atomic structure:
abc: 9.5441 9.5441 7.6661
angles: 90.00 90.00 120.00
Space group R32 (No. 155, hexagonal axes)
Inequivalent atoms, fractional coordinates:
Ca 0.0000 0.0000 0.0000
Ga 0.0000 0.5515 0.0000
B 0.0000 0.0000 0.5000
B 0.0000 0.4446 0.5000
O 0.0000 0.5908 0.5000
O 0.0000 0.8552 0.5000
O 0.0277 0.2149 0.1884

Main lines, low angle first (2θ from 10° to 90°):
Position (°2θ)  I/Imax
18.59  36
24.47  61
30.91  32
31.84  100
46.14  50
52.47  22


No. 4
Computed powder XRD pattern
Compound: Ca2GaBPt6
Radiation: copper Kα
Structure: a cell relaxed with GGA-PBE
Kinematic intensities with the Lorentz-polarization factor, no thermal factor.

Atomic structure:
abc: 5.6820 5.6820 19.4905
angles: 90.00 90.00 120.00
Space group R-3m (No. 166, hexagonal axes)
Inequivalent atoms, fractional coordinates:
Ca 0.0000 0.0000 0.2109
Ga 0.0000 0.0000 0.5000
B 0.0000 0.0000 0.0000
Pt 0.0132 0.5066 0.2699

Main lines, low angle first (2θ from 10° to 90°):
Position (°2θ)  I/Imax
13.63  28
20.22  52
27.46  37
37.71  100
41.10  83
65.74  27